Theoretical XRD peak list of KTaCoO4 for Cu Kα (weighted mean of Kα1 and Kα2), from a crystal structure in Alexandria, relaxed with PBE+U.

Cell and atoms:
a = 5.7584 Å, b = 5.6449 Å, c = 6.8460 Å
α = 90.00°, β = 103.97°, γ = 90.00°
Atoms (fractional coordinates):
K 0.1702 0.2500 0.0775
K 0.8298 0.7500 0.9225
Ta 0.1539 0.7500 0.4777
Ta 0.8461 0.2500 0.5223
Co 0.4096 0.2500 0.6616
Co 0.5904 0.7500 0.3384
O 0.1382 0.0218 0.6646
O 0.1382 0.4782 0.6646
O 0.2428 0.7500 0.2219
O 0.4920 0.7500 0.5955
O 0.5080 0.2500 0.4045
O 0.7572 0.2500 0.7781
O 0.8618 0.5218 0.3354
O 0.8618 0.9782 0.3354

Principal peaks in the range 2θ from 10° to 80°, low angle first:
h k l  Position (°2θ)  I_rel
0 0 1  13.33  100
1 1 -1  24.05  21
1 1 1  28.09  28
0 2 0  31.70  25
1 1 -2  32.02  13
0 2 1  34.53  15
2 1 -1  35.47  22
2 1 0  35.86  15
2 1 1  41.19  15
1 1 -3  43.23  12